Diffraction record for TiO2. The X-ray diffraction stick pattern is computed, not measured: it uses the GGA-PBE geometry in the Materials Project and Cu Kα, 1.54184 Å.
Lines closer than 0.1° are merged.

Crystal structure
Cell lengths 4.5854, 5.5812, 4.9350 Å; angles 90.00, 90.00, 90.00 degrees
Space group Pbcn (No. 60)
Symmetry-distinct sites (fractional):
Ti 0.0000 0.1765 0.2500 (multiplicity 4)
O 0.2287 0.1194 0.5813 (multiplicity 8)

Principal peaks in the range 2θ from 5° to 70°, most intense first:
Position (°2θ)	I/Imax	(hkl)
31.07	100	1 1 1
25.14	32	1 1 0
55.08	27	2 2 1
66.14	23	3 1 1
54.64	20	2 0 2
42.10	19	1 2 1
53.13	14	1 3 0
62.22	14	1 1 3
65.91	12	0 2 3
32.07	9	0 2 0

Diffraction record for TiO2. The X-ray diffraction stick pattern is computed, not measured: it uses the GGA-PBE geometry in the Materials Project and Cu Kα, 1.54184 Å.
Lines closer than 0.1° are merged.

Crystal structure
Cell lengths 6.1679, 3.9073, 11.4084 Å; angles 90.00, 92.77, 90.00 degrees
Space group P2_1/m (No. 11)
Symmetry-distinct sites (fractional):
Ti 0.0393 0.2500 0.2450 (multiplicity 2)
Ti 0.4529 0.7500 0.5996 (multiplicity 2)
O 0.0481 0.7500 0.8925 (multiplicity 2)
O 0.1711 0.7500 0.6454 (multiplicity 2)
O 0.3380 0.2500 0.2836 (multiplicity 2)
O 0.4643 0.2500 0.5644 (multiplicity 2)

Principal peaks in the range 2θ from 5° to 70°, most intense first:
Position (°2θ)	I/Imax	(hkl)
7.76	100	0 0 1
24.08	61	0 1 1
16.02	29	1 0 -1
16.69	25	1 0 1
21.75	22	1 0 2
28.99	13	2 0 0
30.97	12	1 1 -2
15.55	10	0 0 2
46.48	9	0 2 0
26.98	9	1 0 -3

Diffraction record for Ti2O3. The X-ray diffraction stick pattern is computed, not measured: it uses the GGA-PBE geometry in the Materials Project and Cu Kα, 1.54184 Å.
Lines closer than 0.1° are merged.

Crystal structure
Cell lengths 2.9130, 9.8031, 16.0893 Å; angles 90.00, 90.00, 90.00 degrees
Space group Cmcm (No. 63)
Symmetry-distinct sites (fractional):
Ti 0.0000 0.1044 0.1428 (multiplicity 8)
Ti 0.0000 0.3558 0.0406 (multiplicity 8)
O 0.0000 0.0000 0.0000 (multiplicity 4)
O 0.0000 0.1610 0.2500 (multiplicity 4)
O 0.0000 0.2774 0.5866 (multiplicity 8)
O 0.0000 0.4702 0.1434 (multiplicity 8)

Principal peaks in the range 2θ from 5° to 70°, most intense first:
Position (°2θ)	I/Imax	(hkl)
11.00	100	0 0 2
33.31	55	0 2 5
18.93	42	0 2 1
43.09	39	1 3 2
41.93	30	1 3 1
32.55	24	1 1 1
44.99	21	1 3 3
63.91	21	2 0 0
61.60	18	1 1 9
47.54	15	1 3 4